1.
Structure and simulated X-ray diffraction stick pattern of Al2Si2O11 (a crystal structure in Alexandria, relaxed with GGA-PBE; Cu Kα, 1.54184 Å).
Intensities are scaled so that the largest is 100.

Structure:
Cell: 5.3199 8.9599 9.9915 Å, 90.00 104.35 90.00°
Space group Cm (No. 8)
One atom of each set of equivalent atoms:
1 Al 0.0000 0.1947 0.0000
2 Si 0.1715 0.1742 0.7068
3 O 0.0474 0.5000 0.3800
4 O 0.1941 0.0000 0.6678
5 O 0.2401 0.2014 0.8751
6 O 0.2662 0.3009 0.1099
7 O 0.3750 0.2690 0.6419
8 O 0.4570 0.1238 0.3230
9 O 0.4628 0.5000 0.9793

Main lines, by angle (2θ = 10–90°):
| (hkl) | two_theta | I (rel.) |
| --- | --- | --- |
| 0 2 0 | 19.8 | 86 |
| 1 1 -1 | 20.0 | 16 |
| 0 2 1 | 21.9 | 55 |
| 1 1 1 | 23.7 | 100 |
| 1 1 -2 | 24.0 | 56 |
| 0 2 2 | 27.1 | 15 |
| 0 0 3 | 27.6 | 63 |
| 1 3 0 | 34.7 | 16 |
| 1 3 1 | 37.1 | 18 |
| 2 0 -3 | 38.9 | 22 |


2.
Structure and simulated X-ray diffraction stick pattern of SmHoErSc (a crystal structure in Alexandria, relaxed with GGA-PBE; Cu Kα, 1.54184 Å).
Intensities are scaled so that the largest is 100.

Structure:
Cell: 12.0506 5.6007 3.7560 Å, 90.00 108.14 90.00°
Space group Cm (No. 8)
One atom of each set of equivalent atoms:
1 Sm 0.0000 0.0000 0.0000
2 Ho 0.2302 0.5000 0.2278
3 Er 0.2680 0.0000 0.7652
4 Sc 0.4986 0.0000 0.4969

Main lines, by angle (2θ = 10–90°):
| (hkl) | two_theta | I (rel.) |
| --- | --- | --- |
| 3 1 0 | 28.3 | 13 |
| 4 0 0 | 31.2 | 25 |
| 0 2 0 | 32.0 | 28 |
| 1 1 1 | 32.7 | 100 |
| 4 2 0 | 45.3 | 18 |
| 5 1 1 | 56.5 | 16 |
| 1 3 1 | 57.4 | 26 |
| 2 0 2 | 58.8 | 13 |
| 2 2 2 | 68.5 | 10 |
| 4 4 0 | 75.6 | 10 |


3.
Structure and simulated X-ray diffraction stick pattern of PmCrB14 (a crystal structure in Alexandria, relaxed with GGA-PBE; Cu Kα, 1.54184 Å).
Intensities are scaled so that the largest is 100.

Structure:
Cell: 5.8618 10.8001 8.2701 Å, 90.00 90.00 90.00°
Space group Imma (No. 74)
One atom of each set of equivalent atoms:
1 Pm 0.0000 0.2500 0.1276
2 Cr 0.2500 0.2500 0.7500
3 B 0.0000 0.0831 0.6694
4 B 0.0000 0.1269 0.8669
5 B 0.0000 0.1665 0.4694
6 B 0.1602 0.0615 0.3395
7 B 0.2484 0.0775 0.5486

Main lines, by angle (2θ = 10–90°):
| (hkl) | two_theta | I (rel.) |
| --- | --- | --- |
| 0 2 0 | 16.4 | 100 |
| 1 0 1 | 18.6 | 37 |
| 1 2 1 | 24.9 | 75 |
| 1 1 2 | 27.7 | 86 |
| 2 1 1 | 33.5 | 99 |
| 1 3 2 | 36.5 | 62 |
| 1 2 3 | 39.8 | 40 |
| 2 3 1 | 41.2 | 85 |
| 2 5 1 | 53.9 | 26 |
| 2 2 4 | 57.1 | 24 |


4.
Structure and simulated X-ray diffraction stick pattern of Zr3TiFe2N (a crystal structure in Alexandria, relaxed with GGA-PBE; Cu Kα, 1.54184 Å).
Intensities are scaled so that the largest is 100.

Structure:
Cell: 3.9490 4.4345 12.9979 Å, 90.00 90.00 90.00°
Space group Immm (No. 71)
One atom of each set of equivalent atoms:
1 Zr 0.0000 0.0000 0.0000
2 Zr 0.0000 0.5000 0.1831
3 Ti 0.0000 0.0000 0.5000
4 Fe 0.0000 0.5000 0.3696
5 N 0.0000 0.5000 0.0000

Main lines, by angle (2θ = 10–90°):
| (hkl) | two_theta | I (rel.) |
| --- | --- | --- |
| 1 1 0 | 30.3 | 31 |
| 1 1 2 | 33.4 | 100 |
| 0 1 5 | 40.2 | 17 |
| 0 2 0 | 40.7 | 44 |
| 1 1 4 | 41.3 | 57 |
| 1 0 5 | 41.6 | 33 |
| 0 0 6 | 41.7 | 21 |
| 2 0 0 | 46.0 | 31 |
| 0 2 6 | 59.6 | 36 |
| 2 2 0 | 63.0 | 22 |


5.
Structure and simulated X-ray diffraction stick pattern of Sm4HoEr10 (a crystal structure in Alexandria, relaxed with GGA-PBE; Cu Kα, 1.54184 Å).
Intensities are scaled so that the largest is 100.

Structure:
Cell: 11.1845 11.1845 7.8836 Å, 90.00 90.00 90.00°
Space group I4/mmm (No. 139)
One atom of each set of equivalent atoms:
1 Sm 0.2286 0.2286 0.0000
2 Ho 0.0000 0.0000 0.0000
3 Er 0.0000 0.2084 0.2934
4 Er 0.0000 0.5000 0.2500

Main lines, by angle (2θ = 10–90°):
| (hkl) | two_theta | I (rel.) |
| --- | --- | --- |
| 3 1 0 | 25.2 | 14 |
| 2 0 2 | 27.7 | 25 |
| 3 2 1 | 31.0 | 25 |
| 4 0 0 | 32.0 | 100 |
| 3 3 0 | 34.0 | 34 |
| 1 0 3 | 35.1 | 15 |
| 3 3 2 | 41.2 | 31 |
| 5 0 3 | 53.8 | 14 |
| 4 0 4 | 57.1 | 16 |
| 7 3 2 | 68.1 | 16 |


6.
Structure and simulated X-ray diffraction stick pattern of CeReW (a crystal structure in Alexandria, relaxed with GGA-PBE; Cu Kα, 1.54184 Å).
Intensities are scaled so that the largest is 100.

Structure:
Cell: 5.6100 9.0803 9.1058 Å, 90.00 90.00 90.00°
Space group Fmmm (No. 69)
One atom of each set of equivalent atoms:
1 Ce 0.0000 0.1577 0.0000
2 Re 0.2500 0.2500 0.2500
3 W 0.0000 0.0000 0.3489

Main lines, by angle (2θ = 10–90°):
| (hkl) | two_theta | I (rel.) |
| --- | --- | --- |
| 0 0 2 | 19.5 | 12 |
| 1 1 3 | 35.1 | 100 |
| 2 2 0 | 37.7 | 56 |
| 2 2 2 | 42.8 | 42 |
| 0 2 4 | 44.6 | 55 |
| 3 1 3 | 58.9 | 23 |
| 2 4 4 | 67.1 | 23 |
| 2 0 6 | 70.6 | 12 |
| 2 6 0 | 70.7 | 13 |
| 4 2 4 | 83.8 | 18 |


7.
Structure and simulated X-ray diffraction stick pattern of Cs3Rb2O2 (a crystal structure in Alexandria, relaxed with GGA-PBE; Cu Kα, 1.54184 Å).
Intensities are scaled so that the largest is 100.

Structure:
Cell: 4.3909 5.6596 13.0035 Å, 90.00 99.46 90.00°
Space group P2/m (No. 10)
One atom of each set of equivalent atoms:
1 Cs 0.0000 0.0000 0.0000
2 Cs 0.1596 0.0000 0.3242
3 Rb 0.4163 0.5000 0.8232
4 O 0.4059 0.0000 0.8126

Main lines, by angle (2θ = 10–90°):
| (hkl) | two_theta | I (rel.) |
| --- | --- | --- |
| 0 1 0 | 15.7 | 36 |
| 1 1 0 | 25.9 | 100 |
| 0 1 3 | 26.1 | 91 |
| 1 0 2 | 26.7 | 28 |
| 1 0 -3 | 26.8 | 29 |
| 0 2 0 | 31.6 | 36 |
| 1 0 3 | 31.7 | 21 |
| 1 0 -4 | 31.9 | 19 |
| 1 2 -3 | 41.9 | 32 |
| 1 2 3 | 45.4 | 19 |


8.
Structure and simulated X-ray diffraction stick pattern of K3GeH2NO3 (a crystal structure in Alexandria, relaxed with GGA-PBE; Cu Kα, 1.54184 Å).
Intensities are scaled so that the largest is 100.

Structure:
Cell: 6.4712 6.7912 7.2886 Å, 95.91 102.03 91.72°
Space group P-1 (No. 2)
One atom of each set of equivalent atoms:
1 K 0.1537 0.1983 0.4844
2 K 0.2180 0.5246 0.8692
3 K 0.2622 0.0923 0.0288
4 Ge 0.2897 0.7043 0.3060
5 H 0.3998 0.8882 0.6271
6 H 0.4878 0.6636 0.6306
7 N 0.3563 0.7414 0.5795
8 O 0.0696 0.8518 0.2422
9 O 0.2216 0.4476 0.2400
10 O 0.4966 0.2187 0.7941

Main lines, by angle (2θ = 10–90°):
| (hkl) | two_theta | I (rel.) |
| --- | --- | --- |
| 1 0 -1 | 16.7 | 57 |
| 0 1 -1 | 17.1 | 75 |
| 0 1 1 | 19.2 | 61 |
| 0 2 -1 | 28.0 | 56 |
| 2 0 0 | 28.2 | 99 |
| 1 -2 0 | 29.3 | 58 |
| -1 1 2 | 30.3 | 93 |
| 2 -1 0 | 30.6 | 100 |
| 1 1 2 | 35.6 | 64 |
| 2 1 -2 | 35.9 | 68 |


9.
Structure and simulated X-ray diffraction stick pattern of TbNd4Te4 (a crystal structure in Alexandria, relaxed with GGA-PBE; Cu Kα, 1.54184 Å).
Intensities are scaled so that the largest is 100.

Structure:
Cell: 7.9921 7.9921 10.2947 Å, 90.00 90.00 90.00°
Space group I-42m (No. 121)
One atom of each set of equivalent atoms:
1 Tb 0.0000 0.0000 0.0000
2 Nd 0.0000 0.0000 0.3285
3 Nd 0.0000 0.5000 0.0000
4 Te 0.2291 0.2291 0.1388

Main lines, by angle (2θ = 10–90°):
| (hkl) | two_theta | I (rel.) |
| --- | --- | --- |
| 1 1 2 | 23.4 | 96 |
| 1 0 3 | 28.3 | 54 |
| 2 2 0 | 31.7 | 100 |
| 2 1 3 | 36.3 | 53 |
| 3 1 2 | 39.7 | 42 |
| 2 0 4 | 41.7 | 44 |
| 3 0 3 | 43.0 | 22 |
| 4 0 0 | 45.4 | 35 |
| 4 1 3 | 54.4 | 18 |
| 4 2 4 | 63.4 | 21 |


10.
Structure and simulated X-ray diffraction stick pattern of Ga3Ni6Ir (a crystal structure in Alexandria, relaxed with GGA-PBE; Cu Kα, 1.54184 Å).
Intensities are scaled so that the largest is 100.

Structure:
Cell: 7.8503 3.7545 8.2619 Å, 90.00 94.42 90.00°
Space group P2_1/m (No. 11)
One atom of each set of equivalent atoms:
1 Ga 0.0475 0.2500 0.3955
2 Ga 0.1489 0.7500 0.1916
3 Ga 0.2622 0.2500 0.9781
4 Ni 0.0494 0.7500 0.8996
5 Ni 0.1465 0.2500 0.6938
6 Ni 0.2398 0.7500 0.4939
7 Ni 0.3394 0.2500 0.2901
8 Ni 0.3534 0.7500 0.7930
9 Ni 0.4420 0.7500 0.0999
10 Ir 0.4518 0.2500 0.5996

Main lines, by angle (2θ = 10–90°):
| (hkl) | two_theta | I (rel.) |
| --- | --- | --- |
| 0 0 1 | 10.7 | 19 |
| 1 0 0 | 11.3 | 20 |
| 3 1 -1 | 42.9 | 100 |
| 1 1 3 | 43.1 | 98 |
| 2 0 -4 | 48.3 | 34 |
| 0 2 0 | 48.5 | 35 |
| 4 0 2 | 53.4 | 26 |
| 2 2 -4 | 70.9 | 20 |
| 4 2 2 | 75.0 | 18 |
| 3 3 -1 | 86.7 | 12 |


11.
Structure and simulated X-ray diffraction stick pattern of FeCo3 (a crystal structure in Alexandria, relaxed with GGA-PBE; Cu Kα, 1.54184 Å).
Intensities are scaled so that the largest is 100.

Structure:
Cell: 2.8167 2.8167 11.3950 Å, 90.00 90.00 90.00°
Space group P4/nmm (No. 129, origin choice 2)
One atom of each set of equivalent atoms:
1 Fe 0.2500 0.2500 0.1881
2 Co 0.2500 0.2500 0.4392
3 Co 0.2500 0.2500 0.6883
4 Co 0.2500 0.2500 0.9351

Main lines, by angle (2θ = 10–90°):
| (hkl) | two_theta | I (rel.) |
| --- | --- | --- |
| 1 0 4 | 45.3 | 100 |
| 1 1 0 | 45.5 | 49 |
| 0 0 8 | 65.5 | 7 |
| 2 0 0 | 66.4 | 14 |
| 1 1 8 | 83.4 | 14 |
| 2 1 4 | 84.0 | 28 |


12.
Structure and simulated X-ray diffraction stick pattern of PmNpS2O (a crystal structure in Alexandria, relaxed with GGA-PBE; Cu Kα, 1.54184 Å).
Intensities are scaled so that the largest is 100.

Structure:
Cell: 3.9261 3.9261 13.7539 Å, 90.00 90.00 90.00°
Space group P4/nmm (No. 129, origin choice 2)
One atom of each set of equivalent atoms:
1 Pm 0.2500 0.2500 0.0884
2 Np 0.2500 0.2500 0.6132
3 S 0.2500 0.2500 0.4081
4 S 0.2500 0.2500 0.7993
5 O 0.2500 0.7500 0.0000

Main lines, by angle (2θ = 10–90°):
| (hkl) | two_theta | I (rel.) |
| --- | --- | --- |
| 0 0 2 | 12.9 | 14 |
| 0 0 4 | 25.9 | 25 |
| 1 0 2 | 26.1 | 100 |
| 1 1 0 | 32.2 | 57 |
| 1 0 4 | 34.7 | 19 |
| 1 1 4 | 41.8 | 35 |
| 1 0 6 | 45.8 | 16 |
| 2 0 0 | 46.2 | 25 |
| 2 0 4 | 53.8 | 14 |
| 2 1 2 | 53.9 | 29 |


13.
Structure and simulated X-ray diffraction stick pattern of Rb6P4W (a crystal structure in Alexandria, relaxed with GGA-PBE; Cu Kα, 1.54184 Å).
Intensities are scaled so that the largest is 100.

Structure:
Cell: 10.4459 10.4459 8.4133 Å, 90.00 90.00 120.00°
Space group P6_3mc (No. 186)
One atom of each set of equivalent atoms:
1 Rb 0.0674 0.5337 0.0000
2 Rb 0.1465 0.2929 0.3191
3 P 0.2103 0.4206 0.6959
4 P 0.3333 0.6667 0.3308
5 W 0.3333 0.6667 0.6073

Main lines, by angle (2θ = 10–90°):
| (hkl) | two_theta | I (rel.) |
| --- | --- | --- |
| 1 0 1 | 14.4 | 40 |
| 2 0 1 | 22.3 | 43 |
| 1 0 2 | 23.3 | 36 |
| 1 1 2 | 27.2 | 24 |
| 2 1 1 | 28.2 | 100 |
| 2 0 2 | 29.0 | 49 |
| 3 0 1 | 31.5 | 24 |
| 1 0 3 | 33.5 | 29 |
| 2 2 0 | 34.3 | 55 |
| 3 2 2 | 48.9 | 22 |